This entry pairs a crystal structure of NpSnTe with its theoretical X-ray diffraction stick pattern. Radiation: Cu Kα. Structure: a cell relaxed with PBE.
Lines closer than 0.1° are merged.

Main lines, low angle first (5 to 70 degrees two-theta):
2θ (°)	d/Å	I (rel.)
21.10	4.210	28
24.41	3.646	28
34.80	2.578	100
41.05	2.199	15
42.96	2.105	9
50.03	1.823	18
54.88	1.673	7
56.43	1.631	12
62.38	1.489	38
66.64	1.403	5

Crystal structure
Cell: 5.157 5.157 5.157 Å, 60.00 60.00 60.00°
Positions (direct):
Np (0.000, 0.000, 0.000)
Sn (0.500, 0.500, 0.500)
Te (0.250, 0.250, 0.250)

This entry pairs a crystal structure of Li8Au4O11 with its theoretical X-ray diffraction stick pattern. Radiation: Cu Kα. Structure: a cell relaxed with PBE.
Lines closer than 0.1° are merged.

Main lines, low angle first (5 to 70 degrees two-theta):
2θ (°)	d/Å	I (rel.)
18.21	4.871	100
18.63	4.763	20
19.47	4.559	24
20.82	4.266	26
32.20	2.780	26
34.73	2.583	20
35.56	2.525	20
38.46	2.341	21
43.23	2.093	19
43.97	2.059	23

Crystal structure
Cell: 5.100 5.324 9.371 Å, 94.76 101.14 101.97°
Positions (direct):
Li (0.000, 0.000, 0.000)
Li (0.006, 0.069, 0.392)
Li (0.018, 0.524, 0.852)
Li (0.058, 0.991, 0.703)
Li (0.526, 0.280, 0.616)
Li (0.585, 0.757, 0.120)
Li (0.956, 0.608, 0.501)
Li (0.978, 0.512, 0.207)
Au (0.475, 0.265, 0.265)
Au (0.481, 0.810, 0.425)
Au (0.536, 0.764, 0.776)
Au (0.544, 0.274, 0.950)
O (0.233, 0.943, 0.542)
O (0.244, 0.439, 0.381)
O (0.280, 0.915, 0.890)
O (0.287, 0.374, 0.076)
O (0.325, 0.396, 0.772)
O (0.697, 0.182, 0.453)
O (0.725, 0.137, 0.136)
O (0.766, 0.724, 0.315)
O (0.776, 0.136, 0.818)
O (0.804, 0.633, 0.678)
O (0.834, 0.612, 0.018)

This entry pairs a crystal structure of LiSb5Os3 with its theoretical X-ray diffraction stick pattern. Radiation: Cu Kα. Structure: a cell relaxed with PBE.
Lines closer than 0.1° are merged.

Main lines, low angle first (5 to 70 degrees two-theta):
2θ (°)	d/Å	I (rel.)
10.97	8.065	100
18.08	4.905	25
31.59	2.832	13
33.33	2.688	15
38.36	2.347	41
38.86	2.318	22
43.17	2.095	50
44.96	2.016	11
50.36	1.812	13
65.97	1.416	11

Crystal structure
Cell: 5.664 5.664 8.065 Å, 90.00 90.00 120.00°
Positions (direct):
Li (0.000, 0.000, 0.000)
Sb (0.000, 0.000, 0.500)
Sb (0.333, 0.667, 0.230)
Sb (0.333, 0.667, 0.770)
Sb (0.667, 0.333, 0.230)
Sb (0.667, 0.333, 0.770)
Os (0.000, 0.500, 0.500)
Os (0.500, 0.000, 0.500)
Os (0.500, 0.500, 0.500)

This entry pairs a crystal structure of CuAg with its theoretical X-ray diffraction stick pattern. Radiation: Cu Kα. Structure: a cell relaxed with PBE.
Lines closer than 0.1° are merged.

Main lines, low angle first (5 to 70 degrees two-theta):
2θ (°)	d/Å	I (rel.)
35.48	2.530	15
37.43	2.403	17
39.03	2.308	14
39.27	2.294	35
39.60	2.276	38
40.42	2.231	14
40.92	2.206	100
44.15	2.051	60
51.61	1.771	16
66.32	1.409	13

Crystal structure
Cell: 4.617 2.819 11.478 Å, 90.00 91.79 90.00°
Positions (direct):
Cu (0.000, 0.000, 0.000)
Cu (0.120, 0.500, 0.178)
Cu (0.269, 0.000, 0.355)
Cu (0.435, 0.500, 0.523)
Cu (0.790, 0.500, 0.363)
Ag (0.460, 0.000, 0.723)
Ag (0.488, 0.500, 0.954)
Ag (0.618, 0.000, 0.171)
Ag (0.941, 0.000, 0.562)
Ag (0.969, 0.500, 0.798)

This entry pairs a crystal structure of YHoS2Br2 with its theoretical X-ray diffraction stick pattern. Radiation: Cu Kα. Structure: a cell relaxed with PBE.
Lines closer than 0.1° are merged.

Main lines, low angle first (5 to 70 degrees two-theta):
2θ (°)	d/Å	I (rel.)
9.73	9.089	68
19.23	4.615	100
29.30	3.048	38
29.51	3.027	87
33.45	2.679	34
40.81	2.211	44
44.66	2.029	15
45.20	2.006	53
49.03	1.858	20
56.93	1.617	14

Crystal structure
Cell: 4.058 5.357 9.089 Å, 90.00 90.00 90.00°
Positions (direct):
Y (0.000, 0.000, 0.000)
Ho (0.500, 0.500, 0.253)
S (0.000, 0.500, 0.052)
S (0.500, 0.000, 0.204)
Br (0.000, 0.500, 0.468)
Br (0.500, 0.000, 0.783)

This entry pairs a crystal structure of DyHo2Fe2CoNi6 with its theoretical X-ray diffraction stick pattern. Radiation: Cu Kα. Structure: a cell relaxed with PBE.
Lines closer than 0.1° are merged.

Main lines, low angle first (5 to 70 degrees two-theta):
2θ (°)	d/Å	I (rel.)
33.25	2.695	53
36.25	2.478	90
42.23	2.140	40
42.78	2.114	100
46.22	1.964	13
46.34	1.960	13
63.25	1.470	16
65.16	1.432	24
69.66	1.350	21
69.80	1.347	13

Crystal structure
Cell: 8.566 8.566 8.566 Å, 33.67 33.67 33.67°
Positions (direct):
Dy (0.000, 0.000, 0.000)
Ho (0.140, 0.140, 0.140)
Ho (0.860, 0.860, 0.860)
Fe (0.333, 0.333, 0.333)
Fe (0.667, 0.667, 0.667)
Co (0.500, 0.500, 0.500)
Ni (0.083, 0.581, 0.581)
Ni (0.419, 0.419, 0.917)
Ni (0.419, 0.917, 0.419)
Ni (0.581, 0.083, 0.581)
Ni (0.581, 0.581, 0.083)
Ni (0.917, 0.419, 0.419)